For PdSeS, a cell relaxed with GGA-PBE gives the simulated XRD peak list in this record (Cu Kα X-rays).
Kinematic intensities with the Lorentz-polarization factor, no thermal factor.

Structure:
a = 5.6524 Å, b = 5.7695 Å, c = 8.3108 Å
α = 90.00°, β = 90.00°, γ = 90.00°
Space group P2_12_12_1 (No. 19)
Unique sites:
Pd 0.0062 0.0078 0.4993 [4 per cell]
Se 0.1094 0.6137 0.4121 [4 per cell]
S 0.1074 0.8835 0.9233 [4 per cell]

Most intense lines, 10° ≤ 2θ ≤ 90°, by intensity:
2θ 21.4, rel. 100, (0 0 2); 2θ 39.4, rel. 37, (1 1 3); 2θ 51.4, rel. 30, (1 3 1); 2θ 24.5, rel. 28, (1 1 1); 2θ 52.2, rel. 26, (3 1 1); 2θ 31.7, rel. 23, (2 0 0); 2θ 60.2, rel. 23, (1 1 5); 2θ 38.5, rel. 22, (2 0 2)